Theoretical powder diffraction line list of ZnSn3O7 for Cu Kα, 1.54184 Å, from DFT lattice parameters and positions (PBE).
Peak positions follow from Bragg's law for the DFT cell and can differ from measured ones.

Most intense lines, 2θ = 10–90°, sorted by position:
h k l	two_theta	I/Imax
1 2 1	25.55	38.5
2 2 1	29.71	100.0
0 4 0	34.37	20.0
4 0 0	34.86	13.8
1 0 2	35.20	17.3
3 2 1	35.66	23.1
4 4 0	49.76	20.9
1 4 2	50.02	26.6
5 0 2	56.77	14.0
2 6 1	58.71	14.9

Lattice parameters (Å, degrees): 10.296 10.436 5.263 90.00 90.00 90.00
Space group Pnma (No. 62)
One atom of each set of equivalent atoms:
Zn 0.119 0.250 0.162 (multiplicity 4)
Sn 0.142 0.012 0.638 (multiplicity 8)
Sn 0.150 0.750 0.178 (multiplicity 4)
O 0.032 0.085 0.327 (multiplicity 8)
O 0.039 0.250 0.805 (multiplicity 4)
O 0.218 0.620 0.921 (multiplicity 8)
O 0.247 0.621 0.414 (multiplicity 8)